For BaBe2PbF8, a PBE-relaxed structure gives the theoretical PXRD pattern in this record (Cu Kα).

Cell and atoms:
```
12
Lattice="4.082 -2.737 0.000 4.082 2.737 0.000 -0.264 0.000 8.661" Properties=species:S:1:pos:R:3 pbc="T T T"
Ba 0.000 0.000 0.000
Be 3.037 0.000 6.428
Be 4.863 0.000 2.232
Pb -0.132 0.000 4.330
F 3.978 1.296 2.247
F 3.923 1.296 6.413
F 2.216 0.000 5.111
F 2.291 0.000 7.814
F 5.609 0.000 0.846
F 5.684 0.000 3.550
F 3.978 -1.296 2.247
F 3.923 -1.296 6.413
```

The 12 most intense peaks (10° ≤ 2θ ≤ 90°), most intense first:
| 2theta | d_spacing | I (rel.) |
| --- | --- | --- |
| 19.53 | 4.546 | 1000 |
| 21.78 | 4.080 | 586 |
| 28.22 | 3.162 | 584 |
| 28.71 | 3.109 | 554 |
| 38.93 | 2.313 | 388 |
| 36.90 | 2.436 | 384 |
| 20.51 | 4.330 | 382 |
| 44.72 | 2.027 | 215 |
| 43.10 | 2.099 | 215 |
| 42.06 | 2.148 | 210 |
| 45.38 | 1.999 | 206 |
| 32.72 | 2.737 | 206 |